[1]
Structure and computed PXRD pattern of Sc2TiOs2 (a cell relaxed with GGA-PBE; Cu Ka).
Kinematic intensities with the Lorentz-polarization factor, no thermal factor.

The 6 most intense peaks (2θ = 5–70°), sorted by position:
hkl 1 1 0, d 4.701, intensity 23; hkl 0 0 1, d 4.208, intensity 49; hkl 2 1 0, d 2.973, intensity 33; hkl 2 1 1, d 2.428, intensity 100; hkl 0 0 2, d 2.103, intensity 42; hkl 3 1 1, d 1.881, intensity 18

Structure:
a b c (Å): 6.648 6.648 4.208
angles (deg): 90.00 90.00 90.00
Space group P4/mbm (No. 127)
Asymmetric unit:
1 Sc 0.176 0.324 0.000
2 Ti 0.000 0.000 0.500
3 Os 0.131 0.631 0.500

---

[2]
Structure and computed PXRD pattern of Sc4Tl3Os (a cell relaxed with GGA-PBE; Cu Ka).
Kinematic intensities with the Lorentz-polarization factor, no thermal factor.

The 6 most intense peaks (2θ = 5–70°), sorted by position:
hkl 0 0 4, d 3.794, intensity 30; hkl 1 0 0, d 3.367, intensity 46; hkl 1 0 4, d 2.518, intensity 100; hkl 1 1 0, d 2.381, intensity 47; hkl 1 1 4, d 2.017, intensity 23; hkl 2 1 4, d 1.400, intensity 32

Structure:
a b c (Å): 3.367 3.367 15.178
angles (deg): 90.00 90.00 90.00
Space group P4/mmm (No. 123)
Asymmetric unit:
1 Sc 0.000 0.000 0.099
2 Sc 0.000 0.000 0.366
3 Tl 0.500 0.500 0.235
4 Tl 0.500 0.500 0.500
5 Os 0.500 0.500 0.000

---

[3]
Structure and computed PXRD pattern of Sc2V2Os (a cell relaxed with GGA-PBE; Cu Ka).
Kinematic intensities with the Lorentz-polarization factor, no thermal factor.

The 6 most intense peaks (2θ = 5–70°), sorted by position:
hkl 0 0 1, d 4.641, intensity 87; hkl 1 1 1, d 3.191, intensity 94; hkl 2 0 1, d 2.582, intensity 100; hkl 2 1 1, d 2.384, intensity 63; hkl 3 1 0, d 1.965, intensity 72; hkl 3 1 2, d 1.500, intensity 59

Structure:
a b c (Å): 6.214 6.214 4.641
angles (deg): 90.00 90.00 90.00
Space group P4/mbm (No. 127)
Asymmetric unit:
1 Sc 0.172 0.328 0.000
2 V 0.136 0.636 0.500
3 Os 0.000 0.000 0.500

---

[4]
Structure and computed PXRD pattern of Sc2OsW (a cell relaxed with GGA-PBE; Cu Ka).
Kinematic intensities with the Lorentz-polarization factor, no thermal factor.

The 6 most intense peaks (2θ = 5–70°), sorted by position:
hkl 0 1 1, d 4.229, intensity 65; hkl 0 0 4, d 2.412, intensity 23; hkl 0 2 0, d 2.353, intensity 28; hkl 1 1 2, d 2.315, intensity 100; hkl 1 0 3, d 2.264, intensity 21; hkl 1 3 2, d 1.351, intensity 18

Structure:
a b c (Å): 3.188 4.705 9.649
angles (deg): 90.00 90.00 90.00
Space group Imm2 (No. 44)
Asymmetric unit:
1 Sc 0.000 0.000 0.000
2 Sc 0.000 0.500 0.221
3 Os 0.000 0.000 0.477
4 W 0.000 0.500 0.767

---

[5]
Structure and computed PXRD pattern of Sc6ZnOs (a cell relaxed with GGA-PBE; Cu Ka).
Kinematic intensities with the Lorentz-polarization factor, no thermal factor.

The 6 most intense peaks (2θ = 5–70°), sorted by position:
hkl 0 0 2, d 7.937, intensity 76; hkl 1 0 1, d 4.445, intensity 22; hkl 1 1 4, d 2.525, intensity 100; hkl 2 0 0, d 2.315, intensity 44; hkl 1 1 6, d 2.058, intensity 22; hkl 3 1 4, d 1.374, intensity 27

Structure:
a b c (Å): 4.630 4.630 15.874
angles (deg): 90.00 90.00 90.00
Space group I4/mmm (No. 139)
Asymmetric unit:
1 Sc 0.000 0.000 0.249
2 Sc 0.000 0.500 0.100
3 Zn 0.000 0.000 0.500
4 Os 0.000 0.000 0.000

---

[6]
Structure and computed PXRD pattern of Sc5ZnOs4 (a cell relaxed with GGA-PBE; Cu Ka).
Kinematic intensities with the Lorentz-polarization factor, no thermal factor.

The 6 most intense peaks (2θ = 5–70°), sorted by position:
hkl 0 0 1, d 16.306, intensity 34; hkl 0 0 5, d 3.261, intensity 21; hkl 1 0 0, d 3.244, intensity 41; hkl 1 0 5, d 2.300, intensity 100; hkl 1 1 0, d 2.294, intensity 50; hkl 1 1 5, d 1.876, intensity 19

Structure:
a b c (Å): 3.244 3.244 16.306
angles (deg): 90.00 90.00 90.00
Space group P4/mmm (No. 123)
Asymmetric unit:
1 Sc 0.000 0.000 0.000
2 Sc 0.000 0.000 0.195
3 Sc 0.000 0.000 0.388
4 Zn 0.500 0.500 0.500
5 Os 0.500 0.500 0.098
6 Os 0.500 0.500 0.298

---

Question: Number 6 is which compound?
Answer: Sc5ZnOs4